Diffraction record for HoCu6Pd6. The powder X-ray diffraction pattern is simulated, not measured: it uses a structure optimized by DFT (PBE) and a wavelength of 1.5418 Å.
Kinematic intensities with the Lorentz-polarization factor, no thermal factor.

Structure:
abc: 6.668 6.668 6.668
angles: 136.07 99.37 96.72
Element x y z (fractional)
Ho1 0.000 0.000 0.000
Cu1 0.000 0.000 0.500
Cu2 0.000 0.500 0.000
Cu3 0.238 0.738 0.500
Cu4 0.500 0.000 0.000
Cu5 0.500 0.500 0.500
Cu6 0.762 0.262 0.500
Pd1 0.187 0.500 0.687
Pd2 0.342 0.000 0.342
Pd3 0.347 0.347 0.000
Pd4 0.653 0.653 0.000
Pd5 0.658 0.000 0.658
Pd6 0.813 0.500 0.313

Top 8 peaks for 2θ from 5° to 70°, in order of falling intensity:
2θ 41.57, 2.172 Å, I = 100; 2θ 36.03, 2.492 Å, I = 78; 2θ 46.81, 1.941 Å, I = 48; 2θ 41.85, 2.158 Å, I = 40; 2θ 41.22, 2.190 Å, I = 36; 2θ 40.73, 2.215 Å, I = 30; 2θ 46.05, 1.971 Å, I = 22; 2θ 35.31, 2.542 Å, I = 21